No. 1
The following is a theoretical XRD peak list of NbFe2HgRu. It was derived from the GGA-PBE geometry in Alexandria, using Cu Kα X-rays.

The 10 most intense peaks (10° ≤ 2θ ≤ 90°), sorted by position:
| Position (°2θ) | I_rel | (hkl) |
| --- | --- | --- |
| 19.15 | 80.7 | 1 0 0 |
| 25.89 | 92.6 | 1 0 1 |
| 27.20 | 75.1 | 1 1 0 |
| 34.94 | 67.2 | 0 0 2 |
| 38.85 | 100.0 | 2 0 0 |
| 44.83 | 40.0 | 1 1 2 |
| 47.28 | 37.7 | 2 1 1 |
| 53.24 | 78.9 | 2 0 2 |
| 56.12 | 33.5 | 2 2 0 |
| 67.83 | 37.4 | 2 2 2 |

Structural model:
a = 4.636 Å, b = 4.636 Å, c = 5.136 Å
α = 90.00°, β = 90.00°, γ = 90.00°
Space group P4/mmm (No. 123)
Symmetry-distinct sites (fractional):
Nb  0.000  0.000  0.000 [1 per cell]
Fe  0.000  0.500  0.500 [2 per cell]
Hg  0.000  0.000  0.500 [1 per cell]
Ru  0.500  0.500  0.000 [1 per cell]

=====

No. 2
The following is a theoretical XRD peak list of TlCoRe4. It was derived from the GGA-PBE geometry in Alexandria, using Cu Kα X-rays.

The 10 most intense peaks (10° ≤ 2θ ≤ 90°), sorted by position:
| Position (°2θ) | I_rel | (hkl) |
| --- | --- | --- |
| 20.79 | 24.0 | 1 1 1 |
| 34.28 | 17.1 | 2 2 0 |
| 40.43 | 100.0 | 3 1 1 |
| 42.31 | 52.2 | 2 2 2 |
| 49.26 | 10.2 | 4 0 0 |
| 61.38 | 6.3 | 4 2 2 |
| 65.55 | 32.4 | 5 1 1 |
| 72.23 | 28.9 | 4 4 0 |
| 86.19 | 11.8 | 5 3 3 |
| 87.44 | 20.7 | 6 2 2 |

Structural model:
a = 7.399 Å, b = 7.399 Å, c = 7.399 Å
α = 90.00°, β = 90.00°, γ = 90.00°
Space group F-43m (No. 216)
Symmetry-distinct sites (fractional):
Tl  0.000  0.000  0.000 [4 per cell]
Co  0.250  0.250  0.750 [4 per cell]
Re  0.125  0.125  0.375 [16 per cell]

=====

No. 3
The following is a theoretical XRD peak list of LaSm6Dy3. It was derived from the GGA-PBE geometry in Alexandria, using Cu Kα X-rays.

The 10 most intense peaks (10° ≤ 2θ ≤ 90°), sorted by position:
| Position (°2θ) | I_rel | (hkl) |
| --- | --- | --- |
| 28.77 | 64.9 | 1 1 3 |
| 31.14 | 100.0 | 3 0 0 |
| 31.80 | 16.6 | 1 0 4 |
| 41.07 | 15.2 | 2 1 4 |
| 42.90 | 21.8 | 2 2 3 |
| 48.87 | 10.8 | 1 3 4 |
| 53.96 | 22.2 | 4 1 3 |
| 55.40 | 19.5 | 3 3 0 |
| 56.34 | 12.5 | 3 0 6 |
| 64.93 | 12.0 | 6 0 0 |

Structural model:
a = 9.9500 Å, b = 9.9500 Å, c = 11.9104 Å
α = 90.00°, β = 90.00°, γ = 120.00°
Space group R3 (No. 146, hexagonal axes)
Symmetry-distinct sites (fractional):
La  0.0000  0.0000  0.0000 [3 per cell]
Sm  0.9998  0.3299  0.0003 [9 per cell]
Sm  0.9997  0.6736  0.5004 [9 per cell]
Dy  0.0000  0.0000  0.2540 [3 per cell]
Dy  0.0000  0.0000  0.5001 [3 per cell]
Dy  0.0000  0.0000  0.7463 [3 per cell]

=====

No. 4
The following is a theoretical XRD peak list of Ag3Hg2O2F3. It was derived from the GGA-PBE geometry in Alexandria, using Cu Kα X-rays.

The 10 most intense peaks (10° ≤ 2θ ≤ 90°), sorted by position:
| Position (°2θ) | I_rel | (hkl) |
| --- | --- | --- |
| 18.47 | 23.8 | 0 0 4 |
| 24.05 | 21.4 | 1 0 3 |
| 29.37 | 100.0 | 1 1 2 |
| 33.61 | 55.1 | 1 1 4 |
| 37.44 | 22.7 | 0 0 8 |
| 39.77 | 70.5 | 2 0 0 |
| 55.76 | 58.1 | 1 1 10 |
| 57.50 | 18.4 | 2 2 0 |
| 65.87 | 20.3 | 3 1 2 |
| 84.26 | 18.5 | 3 1 10 |

Structural model:
a = 4.534 Å, b = 4.534 Å, c = 19.219 Å
α = 90.00°, β = 90.00°, γ = 90.00°
Space group I4/mmm (No. 139)
Symmetry-distinct sites (fractional):
Ag  0.000  0.000  0.000 [2 per cell]
Ag  0.000  0.000  0.390 [4 per cell]
Hg  0.000  0.500  0.250 [4 per cell]
O  0.000  0.000  0.279 [4 per cell]
F  0.000  0.000  0.110 [4 per cell]
F  0.000  0.000  0.500 [2 per cell]

=====

No. 5
The following is a theoretical XRD peak list of Li3NdI6. It was derived from the GGA-PBE geometry in Alexandria, using Cu Kα X-rays.

The 10 most intense peaks (10° ≤ 2θ ≤ 90°), sorted by position:
| Position (°2θ) | I_rel | (hkl) |
| --- | --- | --- |
| 14.45 | 100.0 | 1 1 0 |
| 24.99 | 39.5 | 0 0 2 |
| 25.24 | 19.7 | 2 0 0 |
| 25.42 | 18.5 | 2 2 2 |
| 29.13 | 95.7 | 2 2 0 |
| 32.59 | 17.9 | -1 1 2 |
| 32.73 | 17.6 | 1 2 3 |
| 41.23 | 13.0 | 0 2 -2 |
| 41.56 | 22.0 | 2 0 -2 |
| 41.78 | 20.3 | 2 2 4 |

Structural model:
a = 8.587 Å, b = 8.647 Å, c = 8.650 Å
α = 60.84°, β = 60.57°, γ = 60.57°
Space group P-1 (No. 2)
Symmetry-distinct sites (fractional):
Li  0.000  0.000  0.000 [1 per cell]
Li  0.000  0.500  0.500 [1 per cell]
Li  0.500  0.000  0.500 [1 per cell]
Nd  0.000  0.500  0.000 [1 per cell]
I  0.230  0.777  0.767 [2 per cell]
I  0.234  0.271  0.273 [2 per cell]
I  0.253  0.245  0.745 [2 per cell]

=====

No. 6
The following is a theoretical XRD peak list of Nd3Ho8Er4. It was derived from the GGA-PBE geometry in Alexandria, using Cu Kα X-rays.

The 10 most intense peaks (10° ≤ 2θ ≤ 90°), sorted by position:
| Position (°2θ) | I_rel | (hkl) |
| --- | --- | --- |
| 27.91 | 36.2 | 0 4 0 |
| 30.81 | 100.0 | 4 0 -2 |
| 30.95 | 48.9 | 4 0 0 |
| 31.98 | 28.3 | 2 4 -1 |
| 38.97 | 17.2 | 2 4 1 |
| 42.05 | 46.5 | 4 4 -2 |
| 42.16 | 22.8 | 4 4 0 |
| 54.97 | 18.4 | 8 0 -2 |
| 62.76 | 13.4 | 8 4 -2 |
| 66.85 | 30.1 | 4 8 -2 |

Structural model:
a = 13.361 Å, b = 12.785 Å, c = 6.712 Å
α = 90.00°, β = 120.12°, γ = 90.00°
Space group C2/m (No. 12)
Symmetry-distinct sites (fractional):
Nd  0.000  0.000  0.000 [2 per cell]
Nd  0.250  0.250  0.000 [4 per cell]
Ho  0.000  0.141  0.500 [4 per cell]
Ho  0.000  0.248  0.000 [4 per cell]
Ho  0.231  0.000  0.952 [4 per cell]
Ho  0.242  0.000  0.485 [4 per cell]
Er  0.000  0.500  0.000 [2 per cell]
Er  0.000  0.500  0.500 [2 per cell]
Er  0.250  0.250  0.500 [4 per cell]

=====

No. 7
The following is a theoretical XRD peak list of Sm5Al2. It was derived from the GGA-PBE geometry in Alexandria, using Cu Kα X-rays.

The 10 most intense peaks (10° ≤ 2θ ≤ 90°), sorted by position:
| Position (°2θ) | I_rel | (hkl) |
| --- | --- | --- |
| 20.95 | 53.5 | 1 2 1 |
| 29.44 | 75.5 | 1 1 2 |
| 29.62 | 37.7 | 1 4 1 |
| 31.51 | 43.1 | 2 3 1 |
| 32.08 | 49.5 | 1 5 0 |
| 32.73 | 88.7 | 2 4 0 |
| 33.78 | 52.7 | 3 1 0 |
| 34.73 | 100.0 | 2 0 2 |
| 36.07 | 90.0 | 0 4 2 |
| 53.38 | 41.0 | 3 5 2 |

Structural model:
a = 8.090 Å, b = 14.861 Å, c = 6.712 Å
α = 90.00°, β = 90.00°, γ = 90.00°
Space group Ibam (No. 72)
Symmetry-distinct sites (fractional):
Sm  0.000  0.000  0.250 [4 per cell]
Sm  0.000  0.238  0.250 [8 per cell]
Sm  0.162  0.417  0.000 [8 per cell]
Al  0.232  0.374  0.500 [8 per cell]

=====

No. 8
The following is a theoretical XRD peak list of K2LaSi. It was derived from the GGA-PBE geometry in Alexandria, using Cu Kα X-rays.

The 10 most intense peaks (10° ≤ 2θ ≤ 90°), sorted by position:
| Position (°2θ) | I_rel | (hkl) |
| --- | --- | --- |
| 17.60 | 28.8 | 4 0 0 |
| 22.93 | 65.7 | 1 1 0 |
| 23.19 | 96.6 | 4 0 -1 |
| 26.53 | 56.7 | 6 0 0 |
| 30.94 | 100.0 | 3 1 -1 |
| 34.65 | 96.3 | 3 1 1 |
| 38.54 | 21.4 | 2 0 -2 |
| 38.69 | 22.0 | 7 1 0 |
| 45.32 | 20.9 | 1 1 -2 |
| 54.68 | 20.2 | 9 1 1 |

Structural model:
a = 20.678 Å, b = 3.952 Å, c = 4.672 Å
α = 90.00°, β = 102.85°, γ = 90.00°
Space group C2/m (No. 12)
Symmetry-distinct sites (fractional):
K  0.155  0.000  0.152 [4 per cell]
La  0.000  0.000  0.500 [2 per cell]
Si  0.000  0.500  0.000 [2 per cell]